Calculated X-ray diffraction stick pattern
Compound: Li4Ti3V5O16
Radiation: Cu Kα, 1.54184 Å
Structure: a DFT-relaxed cell (GGA+U, Alexandria)
Intensities are scaled so that the largest is 100.

Structure:
```
data_Li4Ti3V5O16
_space_group_name_H-M_alt 'P 1'
_space_group_IT_number 1
_space_group_name_Hall 'P 1'
_cell_length_a 5.920
_cell_length_b 5.946
_cell_length_c 9.690
_cell_angle_alpha 89.16
_cell_angle_beta 89.66
_cell_angle_gamma 60.26
loop_
_atom_site_label
_atom_site_type_symbol
_atom_site_fract_x
_atom_site_fract_y
_atom_site_fract_z
Li1 Li 0.000 0.000 0.000
Li2 Li 0.014 0.981 0.502
Li3 Li 0.326 0.329 0.599
Li4 Li 0.676 0.648 0.099
Ti1 Ti 0.200 0.138 0.272
Ti2 Ti 0.674 0.179 0.289
Ti3 Ti 0.817 0.341 0.774
V1 V 0.166 0.646 0.285
V2 V 0.336 0.840 0.786
V3 V 0.338 0.326 0.007
V4 V 0.664 0.666 0.509
V5 V 0.829 0.826 0.787
O1 O 0.047 0.457 0.156
O2 O 0.164 0.163 0.891
O3 O 0.174 0.673 0.892
O4 O 0.333 0.818 0.393
O5 O 0.346 0.293 0.392
O6 O 0.487 0.019 0.156
O7 O 0.491 0.461 0.160
O8 O 0.502 0.960 0.663
O9 O 0.517 0.514 0.657
O10 O 0.664 0.646 0.895
O11 O 0.673 0.160 0.894
O12 O 0.838 0.827 0.396
O13 O 0.839 0.313 0.395
O14 O 0.956 0.518 0.657
O15 O 0.996 0.998 0.185
O16 O 0.999 0.007 0.686
```

The 12 most intense peaks (2θ from 15° to 90°), in order of falling intensity:
(hkl)	Position (°2θ)	I/Imax
0 0 2	18.31	100
1 0 1	19.53	79
0 1 -1	19.63	55
0 2 -1	36.14	43
1 2 -2	35.65	31
1 -1 2	35.48	30
2 0 3	45.08	29
-1 1 2	35.21	29
2 0 2	39.70	27
0 1 1	19.37	25
1 1 2	25.08	24
2 -2 0	62.35	22


Calculated X-ray diffraction stick pattern
Compound: Li2TiV3O8
Radiation: Cu Kα, 1.54184 Å
Structure: a DFT-relaxed cell (GGA+U, Alexandria)
Intensities are scaled so that the largest is 100.

Structure:
```
data_Li2TiV3O8
_space_group_name_H-M_alt 'P -1'
_space_group_IT_number 2
_space_group_name_Hall '-P 1'
_cell_length_a 5.971
_cell_length_b 5.994
_cell_length_c 10.290
_cell_angle_alpha 73.67
_cell_angle_beta 73.96
_cell_angle_gamma 60.61
loop_
_atom_site_label
_atom_site_type_symbol
_atom_site_fract_x
_atom_site_fract_y
_atom_site_fract_z
Li1 Li 0.062 0.058 0.311
Li2 Li 0.433 0.440 0.188
Ti1 Ti 0.248 0.259 0.750
V1 V 0.000 0.000 0.000
V2 V 0.000 0.500 0.000
V3 V 0.000 0.500 0.500
V4 V 0.500 0.000 0.000
V5 V 0.500 0.000 0.500
V6 V 0.500 0.500 0.500
O1 O 0.085 0.649 0.126
O2 O 0.137 0.129 0.106
O3 O 0.147 0.144 0.621
O4 O 0.153 0.592 0.626
O5 O 0.364 0.352 0.881
O6 O 0.371 0.386 0.394
O7 O 0.374 0.908 0.880
O8 O 0.407 0.853 0.380
```

The 12 most intense peaks (2θ from 15° to 90°), in order of falling intensity:
(hkl)	Position (°2θ)	I/Imax
0 1 1	18.10	100
0 0 2	18.19	96
2 0 -2	42.48	79
2 0 0	35.03	39
2 2 4	43.15	37
2 2 -4	61.89	23
0 2 6	62.14	23
0 2 0	34.89	15
1 1 4	35.48	15
2 2 2	35.34	15
3 1 -2	56.22	13
2 -2 0	61.43	12


Calculated X-ray diffraction stick pattern
Compound: Li2TiVO4
Radiation: Cu Kα, 1.54184 Å
Structure: a DFT-relaxed cell (GGA+U, Alexandria)
Intensities are scaled so that the largest is 100.

Structure:
```
data_Li2TiVO4
_space_group_name_H-M_alt 'P -1'
_space_group_IT_number 2
_space_group_name_Hall '-P 1'
_cell_length_a 5.225
_cell_length_b 5.991
_cell_length_c 7.894
_cell_angle_alpha 100.85
_cell_angle_beta 109.06
_cell_angle_gamma 90.17
loop_
_atom_site_label
_atom_site_type_symbol
_atom_site_fract_x
_atom_site_fract_y
_atom_site_fract_z
Li1 Li 0.002 0.418 0.167
Li2 Li 0.004 0.931 0.168
Li3 Li 0.005 0.248 0.497
Ti1 Ti 0.496 0.316 0.835
Ti2 Ti 0.500 0.500 0.500
V1 V 0.499 0.178 0.165
V2 V 0.500 0.000 0.500
O1 O 0.262 0.869 0.011
O2 O 0.263 0.050 0.678
O3 O 0.265 0.225 0.341
O4 O 0.272 0.393 0.996
O5 O 0.273 0.524 0.664
O6 O 0.275 0.696 0.333
```

The 12 most intense peaks (2θ from 15° to 90°), in order of falling intensity:
(hkl)	Position (°2θ)	I/Imax
1 0 0	18.01	100
2 0 -3	42.64	91
1 0 -3	35.19	40
3 0 -3	56.17	9
2 0 3	61.84	8
-3 2 1	61.51	8
-1 2 4	62.11	8
3 2 -2	61.69	8
1 2 -5	62.20	8
0 4 -1	61.96	8
0 2 4	65.33	7
-2 2 1	46.49	5